Starting from a DFT-relaxed cell (PBE, OQMD), the powder X-ray diffraction pattern of HfAsW2 was calculated for Cu Kα.
Lines closer than 0.1° are merged.

Peak list (10 most intense, 10 to 90 degrees two-theta, sorted by position)
2theta  d_spacing  intensity  hkl
23.72  3.751  7  1 1 1
27.46  3.248  3  2 0 0
39.22  2.297  100  2 2 0
46.36  1.959  4  3 1 1
56.68  1.624  17  4 0 0
62.30  1.490  2  3 3 1
64.11  1.453  1  4 2 0
71.09  1.326  35  4 2 2
84.34  1.148  11  4 4 0
89.19  1.098  1  5 3 1

Cell and atoms:
Cell: 6.496 6.496 6.496 Å, 90.00 90.00 90.00°
Sites, in units of the cell vectors:
Hf: 0.000 0.000 0.000
Hf: 0.000 0.500 0.500
Hf: 0.500 0.000 0.500
Hf: 0.500 0.500 0.000
As: 0.250 0.250 0.750
As: 0.250 0.750 0.250
As: 0.750 0.250 0.250
As: 0.750 0.750 0.750
W: 0.000 0.000 0.500
W: 0.000 0.500 0.000
W: 0.250 0.250 0.250
W: 0.250 0.750 0.750
W: 0.500 0.000 0.000
W: 0.500 0.500 0.500
W: 0.750 0.250 0.750
W: 0.750 0.750 0.250